HfNiO6F6: simulated X-ray diffraction stick pattern (Cu Ka), based on a PBE+U-relaxed structure.
Lines closer than 0.1° are merged.

Largest 10 diffraction maxima, by intensity, 5 to 70 degrees two-theta:
2θ = 20.3°, rel. 100; 2θ = 22.6°, rel. 52; 2θ = 38.4°, rel. 33; 2θ = 47.6°, rel. 21; 2θ = 15.2°, rel. 20; 2θ = 41.3°, rel. 18; 2θ = 30.6°, rel. 15; 2θ = 51.0°, rel. 11; 2θ = 27.4°, rel. 11; 2θ = 53.5°, rel. 11

Atomic structure:
a b c (Å): 5.9222 5.9222 5.9222
angles (deg): 83.05 83.05 83.05
Atoms (fractional coordinates):
Hf 0.0000 0.0000 0.0000
Ni 0.5000 0.5000 0.5000
O 0.2060 0.5553 0.4255
O 0.4255 0.2060 0.5553
O 0.4447 0.5745 0.7940
O 0.5553 0.4255 0.2060
O 0.5745 0.7940 0.4447
O 0.7940 0.4447 0.5745
F 0.1392 0.8193 0.7412
F 0.1807 0.2588 0.8608
F 0.2588 0.8608 0.1807
F 0.7412 0.1392 0.8193
F 0.8193 0.7412 0.1392
F 0.8608 0.1807 0.2588